(1)
Starting from the PBE geometry in the Materials Project, the PXRD pattern of Ca3NbGa3Si2O14 was computed for Cu Ka.
Intensities are scaled so that the largest is 100.

Crystal structure
Unit cell a=8.204 b=8.204 c=5.038 alpha=90.00 beta=90.00 gamma=120.00
Atoms (fractional coordinates):
Ca 0.000 0.574 0.000
Ca 0.426 0.426 0.000
Ca 0.574 0.000 0.000
Nb 0.000 0.000 0.000
Ga 0.000 0.254 0.500
Ga 0.254 0.000 0.500
Ga 0.746 0.746 0.500
Si 0.333 0.667 0.543
Si 0.667 0.333 0.457
O 0.083 0.857 0.237
O 0.143 0.226 0.237
O 0.156 0.478 0.685
O 0.226 0.143 0.763
O 0.322 0.844 0.685
O 0.333 0.667 0.223
O 0.478 0.156 0.315
O 0.522 0.678 0.685
O 0.667 0.333 0.777
O 0.678 0.522 0.315
O 0.774 0.917 0.237
O 0.844 0.322 0.315
O 0.857 0.083 0.763
O 0.917 0.774 0.763

Peak list (12 most intense, 2θ from 15° to 90°, most intense first)
| (hkl) | 2θ (°) | I/Imax |
| --- | --- | --- |
| 0 2 1 | 30.80 | 100 |
| 1 1 1 | 28.05 | 96 |
| 1 2 1 | 37.97 | 82 |
| 3 2 1 | 59.62 | 45 |
| 1 2 2 | 49.63 | 42 |
| 1 1 0 | 21.65 | 25 |
| 2 1 0 | 33.36 | 21 |
| 0 3 2 | 53.08 | 20 |
| 5 0 2 | 77.08 | 19 |
| 0 4 2 | 64.16 | 16 |
| 2 1 3 | 65.57 | 16 |
| 1 1 3 | 59.52 | 14 |

=====

(2)
Starting from the PBE geometry in the Materials Project, the PXRD pattern of Mg14CdC was computed for Cu Ka.
Intensities are scaled so that the largest is 100.

Crystal structure
Unit cell a=6.257 b=6.257 c=9.979 alpha=90.00 beta=90.00 gamma=120.00
Atoms (fractional coordinates):
Mg 0.000 0.000 0.248
Mg 0.000 0.000 0.752
Mg 0.013 0.507 0.265
Mg 0.013 0.507 0.735
Mg 0.327 0.164 0.500
Mg 0.336 0.168 0.000
Mg 0.493 0.507 0.265
Mg 0.493 0.507 0.735
Mg 0.493 0.987 0.265
Mg 0.493 0.987 0.735
Mg 0.832 0.168 0.000
Mg 0.832 0.664 0.000
Mg 0.836 0.164 0.500
Mg 0.836 0.673 0.500
Cd 0.333 0.667 0.000
C 0.333 0.667 0.500

Peak list (12 most intense, 2θ from 15° to 90°, most intense first)
| (hkl) | 2θ (°) | I/Imax |
| --- | --- | --- |
| 2 0 2 | 37.78 | 100 |
| 1 0 1 | 18.63 | 33 |
| 2 0 0 | 33.06 | 26 |
| 0 0 4 | 36.00 | 25 |
| 2 2 4 | 71.14 | 18 |
| 2 2 0 | 59.06 | 17 |
| 2 0 6 | 65.90 | 16 |
| 1 0 0 | 16.36 | 16 |
| 2 0 4 | 49.68 | 15 |
| 4 0 2 | 72.27 | 13 |
| 1 1 1 | 29.93 | 13 |
| 1 0 3 | 31.56 | 12 |

=====

(3)
Starting from the PBE geometry in the Materials Project, the PXRD pattern of MgO was computed for Cu Ka.
Intensities are scaled so that the largest is 100.

Crystal structure
Unit cell a=5.641 b=5.641 c=5.641 alpha=90.00 beta=90.00 gamma=90.00
Atoms (fractional coordinates):
Mg 0.000 0.250 0.500
Mg 0.000 0.750 0.500
Mg 0.250 0.500 0.000
Mg 0.500 0.000 0.250
Mg 0.500 0.000 0.750
Mg 0.750 0.500 0.000
O 0.000 0.500 0.250
O 0.000 0.500 0.750
O 0.250 0.000 0.500
O 0.500 0.250 0.000
O 0.500 0.750 0.000
O 0.750 0.000 0.500

Peak list (12 most intense, 2θ from 15° to 90°, most intense first)
| (hkl) | 2θ (°) | I/Imax |
| --- | --- | --- |
| 1 1 0 | 22.29 | 100 |
| 2 1 1 | 39.12 | 41 |
| 2 2 2 | 56.52 | 36 |
| 2 0 0 | 31.73 | 19 |
| 3 2 1 | 61.51 | 18 |
| 3 1 0 | 51.21 | 17 |
| 4 0 0 | 66.28 | 15 |
| 2 2 0 | 45.48 | 12 |
| 2 1 0 | 35.59 | 10 |
| 5 1 0 | 88.36 | 8 |
| 4 1 1 | 70.88 | 8 |
| 4 2 0 | 75.36 | 4 |

=====

(4)
Starting from the PBE geometry in the Materials Project, the PXRD pattern of CaCe4Si3O13 was computed for Cu Ka.
Intensities are scaled so that the largest is 100.

Crystal structure
Unit cell a=9.698 b=7.103 c=9.708 alpha=90.00 beta=119.95 gamma=90.00
Atoms (fractional coordinates):
Ca 0.166 0.000 0.333
Ca 0.834 0.500 0.667
Ce 0.167 0.505 0.333
Ce 0.262 0.253 0.996
Ce 0.265 0.753 0.761
Ce 0.496 0.753 0.235
Ce 0.504 0.253 0.765
Ce 0.735 0.253 0.239
Ce 0.738 0.753 0.004
Ce 0.833 0.005 0.667
Si 0.101 0.752 0.972
Si 0.129 0.252 0.601
Si 0.473 0.252 0.372
Si 0.527 0.752 0.628
Si 0.871 0.752 0.399
Si 0.899 0.252 0.028
O 0.012 0.252 0.677
O 0.032 0.253 0.406
O 0.094 0.253 0.126
O 0.158 0.937 0.910
O 0.165 0.570 0.913
O 0.178 0.752 0.164
O 0.248 0.437 0.659
O 0.251 0.071 0.665
O 0.335 0.752 0.512
O 0.373 0.252 0.468
O 0.411 0.437 0.253
O 0.414 0.071 0.249
O 0.500 0.256 0.999
O 0.500 0.756 0.001
O 0.586 0.571 0.751
O 0.589 0.937 0.747
O 0.627 0.752 0.532
O 0.665 0.252 0.488
O 0.749 0.571 0.335
O 0.752 0.937 0.341
O 0.822 0.252 0.836
O 0.835 0.070 0.087
O 0.842 0.437 0.090
O 0.906 0.753 0.874
O 0.968 0.753 0.594
O 0.988 0.752 0.323

Peak list (12 most intense, 2θ from 15° to 90°, most intense first)
| (hkl) | 2θ (°) | I/Imax |
| --- | --- | --- |
| 1 1 2 | 30.83 | 100 |
| 3 3 -1 | 47.92 | 33 |
| 1 2 -2 | 31.21 | 33 |
| 1 2 0 | 27.26 | 27 |
| 3 0 -1 | 28.09 | 27 |
| 4 2 -4 | 50.46 | 24 |
| 1 1 -2 | 22.19 | 23 |
| 4 2 -2 | 45.26 | 21 |
| 0 0 3 | 31.94 | 20 |
| 0 0 2 | 21.14 | 20 |
| 3 1 -5 | 48.95 | 18 |
| 0 2 0 | 25.07 | 18 |

=====

(5)
Starting from the PBE geometry in the Materials Project, the PXRD pattern of Mn8Sn5 was computed for Cu Ka.
Intensities are scaled so that the largest is 100.

Crystal structure
Unit cell a=7.510 b=5.456 c=21.532 alpha=90.00 beta=90.00 gamma=90.00
Atoms (fractional coordinates):
Mn 0.000 0.000 0.000
Mn 0.000 0.500 0.000
Mn 0.012 0.006 0.204
Mn 0.012 0.494 0.204
Mn 0.021 0.000 0.598
Mn 0.021 0.500 0.598
Mn 0.160 0.750 0.103
Mn 0.161 0.750 0.699
Mn 0.165 0.750 0.497
Mn 0.335 0.250 0.997
Mn 0.339 0.250 0.199
Mn 0.340 0.250 0.603
Mn 0.479 0.000 0.098
Mn 0.479 0.500 0.098
Mn 0.488 0.506 0.704
Mn 0.488 0.994 0.704
Mn 0.500 0.000 0.500
Mn 0.500 0.500 0.500
Mn 0.512 0.006 0.296
Mn 0.512 0.494 0.296
Mn 0.521 0.000 0.902
Mn 0.521 0.500 0.902
Mn 0.660 0.750 0.397
Mn 0.661 0.750 0.801
Mn 0.665 0.750 0.003
Mn 0.835 0.250 0.503
Mn 0.839 0.250 0.301
Mn 0.840 0.250 0.897
Mn 0.979 0.000 0.402
Mn 0.979 0.500 0.402
Mn 0.988 0.506 0.796
Mn 0.988 0.994 0.796
Sn 0.131 0.250 0.099
Sn 0.154 0.250 0.707
Sn 0.186 0.250 0.490
Sn 0.187 0.250 0.311
Sn 0.190 0.250 0.886
Sn 0.310 0.750 0.386
Sn 0.313 0.750 0.811
Sn 0.314 0.750 0.990
Sn 0.346 0.750 0.207
Sn 0.369 0.750 0.599
Sn 0.631 0.250 0.401
Sn 0.654 0.250 0.793
Sn 0.686 0.250 0.010
Sn 0.687 0.250 0.189
Sn 0.690 0.250 0.614
Sn 0.810 0.750 0.114
Sn 0.813 0.750 0.689
Sn 0.814 0.750 0.510
Sn 0.846 0.750 0.293
Sn 0.869 0.750 0.901

Peak list (12 most intense, 2θ from 15° to 90°, most intense first)
| (hkl) | 2θ (°) | I/Imax |
| --- | --- | --- |
| 2 2 0 | 40.94 | 100 |
| 3 0 5 | 41.73 | 69 |
| 1 1 5 | 28.97 | 50 |
| 0 0 10 | 41.96 | 33 |
| 2 1 0 | 28.86 | 23 |
| 3 4 5 | 83.83 | 19 |
| 0 2 0 | 32.83 | 18 |
| 2 2 10 | 60.02 | 17 |
| 3 2 5 | 54.09 | 13 |
| 1 3 5 | 56.24 | 13 |
| 0 4 0 | 68.83 | 9 |
| 0 4 10 | 83.98 | 9 |

=====

(6)
Starting from the PBE geometry in the Materials Project, the PXRD pattern of Si3PH9 was computed for Cu Ka.
Intensities are scaled so that the largest is 100.

Crystal structure
Unit cell a=6.360 b=13.157 c=10.154 alpha=90.00 beta=95.12 gamma=90.00
Atoms (fractional coordinates):
Si 0.100 0.113 0.332
Si 0.100 0.387 0.832
Si 0.285 0.715 0.376
Si 0.285 0.785 0.876
Si 0.293 0.038 0.800
Si 0.293 0.462 0.300
Si 0.707 0.538 0.700
Si 0.707 0.962 0.200
Si 0.715 0.215 0.124
Si 0.715 0.285 0.624
Si 0.900 0.613 0.168
Si 0.900 0.887 0.668
P 0.257 0.614 0.195
P 0.257 0.886 0.695
P 0.743 0.114 0.305
P 0.743 0.386 0.805
H 0.151 0.049 0.909
H 0.151 0.451 0.409
H 0.162 0.676 0.484
H 0.162 0.824 0.984
H 0.170 0.025 0.418
H 0.170 0.475 0.918
H 0.171 0.209 0.400
H 0.171 0.291 0.900
H 0.197 0.105 0.204
H 0.197 0.395 0.704
H 0.205 0.683 0.834
H 0.205 0.817 0.334
H 0.244 0.120 0.700
H 0.244 0.380 0.200
H 0.483 0.549 0.644
H 0.483 0.951 0.144
H 0.487 0.222 0.075
H 0.487 0.278 0.575
H 0.513 0.722 0.425
H 0.513 0.778 0.925
H 0.517 0.049 0.856
H 0.517 0.451 0.356
H 0.756 0.620 0.800
H 0.756 0.880 0.300
H 0.795 0.183 0.666
H 0.795 0.317 0.166
H 0.803 0.605 0.296
H 0.803 0.895 0.796
H 0.829 0.709 0.100
H 0.829 0.791 0.600
H 0.830 0.525 0.082
H 0.830 0.975 0.582
H 0.838 0.176 0.016
H 0.838 0.324 0.516
H 0.849 0.549 0.591
H 0.849 0.951 0.091

Peak list (12 most intense, 2θ from 15° to 90°, most intense first)
| (hkl) | 2θ (°) | I/Imax |
| --- | --- | --- |
| 0 2 1 | 16.07 | 100 |
| 1 1 -1 | 17.21 | 100 |
| 0 0 2 | 17.54 | 63 |
| 0 3 2 | 26.91 | 59 |
| 1 1 0 | 15.52 | 38 |
| 0 5 3 | 43.59 | 29 |
| 2 0 0 | 28.17 | 29 |
| 1 1 -3 | 29.65 | 28 |
| 1 1 1 | 18.45 | 22 |
| 1 0 -2 | 21.48 | 22 |
| 1 4 2 | 36.16 | 19 |
| 0 2 2 | 22.17 | 16 |